(1)
Starting from a cell relaxed with PBE, the powder XRD pattern of Sm2In8Co was calculated for λ = 1.5418 Å (Cu Kα).

Structure:
```
Sm2In8Co
1.0
4.6527 0.0000 0.0000
0.0000 4.6527 0.0000
0.0000 0.0000 12.1579
Sm In Co
2 8 1
Direct
0.0000 0.0000 0.1941
0.0000 0.0000 0.8059
0.0000 0.5000 0.0000
0.0000 0.5000 0.3824
0.0000 0.5000 0.6176
0.5000 0.0000 0.0000
0.5000 0.0000 0.3824
0.5000 0.0000 0.6176
0.5000 0.5000 0.1985
0.5000 0.5000 0.8015
0.0000 0.0000 0.5000
```

Largest 12 diffraction maxima, in order of falling intensity, 2θ from 10° to 90°:
2θ = 35.1°, I = 100; 2θ = 38.7°, I = 60; 2θ = 30.9°, I = 52; 2θ = 54.6°, I = 31; 2θ = 67.8°, I = 28; 2θ = 37.0°, I = 25; 2θ = 55.9°, I = 20; 2θ = 67.9°, I = 16; 2θ = 68.9°, I = 15; 2θ = 65.2°, I = 12; 2θ = 40.4°, I = 10; 2θ = 28.1°, I = 9

(2)
Starting from a cell relaxed with PBE, the powder XRD pattern of K2LiAlF6 was calculated for λ = 1.5418 Å (Cu Kα).

Structure:
```
K2LiAlF6
1.0
5.6942 0.0000 0.0000
-2.8471 4.9313 0.0000
0.0000 0.0000 13.9314
K Li Al F
6 3 3 18
Direct
0.0000 0.0000 0.2477
0.0000 0.0000 0.7523
0.3333 0.6667 0.0888
0.3333 0.6667 0.3936
0.6667 0.3333 0.6064
0.6667 0.3333 0.9112
0.0000 0.0000 0.0000
0.3333 0.6667 0.6432
0.6667 0.3333 0.3568
0.0000 0.0000 0.5000
0.3333 0.6667 0.8387
0.6667 0.3333 0.1613
0.0377 0.5189 0.7579
0.1532 0.3064 0.5758
0.1532 0.8468 0.5758
0.1796 0.3593 0.9129
0.1796 0.8204 0.9129
0.3064 0.1532 0.4242
0.3593 0.1796 0.0871
0.4811 0.5189 0.7579
0.4811 0.9623 0.7579
0.5189 0.0377 0.2421
0.5189 0.4811 0.2421
0.6407 0.8204 0.9129
0.6936 0.8468 0.5758
0.8204 0.1796 0.0871
0.8204 0.6407 0.0871
0.8468 0.1532 0.4242
0.8468 0.6936 0.4242
0.9623 0.4811 0.2421
```

Largest 12 diffraction maxima, in order of falling intensity, 2θ from 10° to 90°:
2θ = 31.4°, I = 100; 2θ = 38.8°, I = 99; 2θ = 41.5°, I = 92; 2θ = 45.0°, I = 87; 2θ = 65.6°, I = 52; 2θ = 19.1°, I = 38; 2θ = 56.0°, I = 27; 2θ = 37.0°, I = 25; 2θ = 78.9°, I = 22; 2θ = 49.4°, I = 21; 2θ = 59.7°, I = 21; 2θ = 26.4°, I = 19

(3)
Starting from a cell relaxed with PBE, the powder XRD pattern of Ga2Se3 was calculated for λ = 1.5418 Å (Cu Kα).

Structure:
```
Ga2Se3
1.0
3.4058 -5.9970 0.0000
3.4058 5.9970 0.0000
-2.1558 0.0000 6.4175
Ga Se
4 6
Direct
0.0851 0.9149 0.5000
0.2182 0.7159 0.9958
0.7159 0.2182 0.4958
0.9149 0.0851 0.0000
0.1118 0.5974 0.6085
0.2802 0.4520 0.1386
0.4520 0.2802 0.6386
0.5974 0.1118 0.1085
0.7585 0.9145 0.6144
0.9145 0.7585 0.1144
```

Largest 12 diffraction maxima, in order of falling intensity, 2θ from 10° to 90°:
2θ = 27.6°, I = 100; 2θ = 27.8°, I = 38; 2θ = 46.2°, I = 30; 2θ = 46.0°, I = 29; 2θ = 54.0°, I = 19; 2θ = 45.4°, I = 17; 2θ = 45.8°, I = 15; 2θ = 55.0°, I = 14; 2θ = 54.2°, I = 10; 2θ = 66.4°, I = 9; 2θ = 15.6°, I = 9; 2θ = 54.4°, I = 8

(4)
Starting from a cell relaxed with PBE, the powder XRD pattern of MgZn2Cu4O8 was calculated for λ = 1.5418 Å (Cu Kα).

Structure:
```
MgZn2Cu4O8
1.0
5.8811 0.0000 0.0000
2.9377 5.0963 0.0000
2.9378 1.6798 5.2347
Mg Zn Cu O
1 2 4 8
Direct
0.0000 0.0000 0.0000
0.5001 0.5053 0.4996
0.8430 0.8498 0.4702
0.0005 0.4998 0.0035
0.1554 0.1680 0.5323
0.4975 0.0026 0.0043
0.4982 0.5001 0.0028
0.2436 0.2454 0.7668
0.2450 0.7444 0.7676
0.2520 0.7559 0.2407
0.2731 0.2750 0.1800
0.7232 0.7263 0.8303
0.7450 0.2459 0.7669
0.7530 0.2559 0.2400
0.7536 0.7561 0.2416
```

Largest 12 diffraction maxima, in order of falling intensity, 2θ from 10° to 90°:
2θ = 35.0°, I = 100; 2θ = 42.3°, I = 63; 2θ = 35.7°, I = 53; 2θ = 63.2°, I = 51; 2θ = 30.4°, I = 43; 2θ = 34.3°, I = 36; 2θ = 59.5°, I = 21; 2θ = 35.0°, I = 19; 2θ = 54.5°, I = 18; 2θ = 46.4°, I = 18; 2θ = 57.0°, I = 14; 2θ = 57.1°, I = 14

(5)
Starting from a cell relaxed with PBE, the powder XRD pattern of Ga5Fe6 was calculated for λ = 1.5418 Å (Cu Kα).

Structure:
```
Ga5Fe6
1.0
5.0198 -3.9589 0.0000
5.0198 3.9589 0.0000
-2.4250 0.0000 7.2963
Ga Fe
10 12
Direct
0.1311 0.1311 0.5986
0.1584 0.7654 0.7949
0.2346 0.8416 0.2051
0.3215 0.3215 0.3450
0.3773 0.3773 0.0201
0.6227 0.6227 0.9799
0.6785 0.6785 0.6550
0.7654 0.1584 0.7949
0.8416 0.2346 0.2051
0.8689 0.8689 0.4014
0.0000 0.5000 0.5000
0.0070 0.5431 0.1701
0.1309 0.1309 0.0132
0.2797 0.7203 0.5000
0.3966 0.3966 0.6906
0.4569 0.9930 0.8299
0.5000 0.0000 0.5000
0.5431 0.0070 0.1701
0.6034 0.6034 0.3094
0.7203 0.2797 0.5000
0.8691 0.8691 0.9868
0.9930 0.4569 0.8299
```

Largest 12 diffraction maxima, in order of falling intensity, 2θ from 10° to 90°:
2θ = 43.7°, I = 100; 2θ = 44.4°, I = 82; 2θ = 44.0°, I = 44; 2θ = 45.8°, I = 42; 2θ = 44.6°, I = 29; 2θ = 43.5°, I = 19; 2θ = 41.5°, I = 19; 2θ = 35.8°, I = 17; 2θ = 43.8°, I = 16; 2θ = 44.8°, I = 15; 2θ = 65.4°, I = 15; 2θ = 42.7°, I = 12

(6)
Starting from a cell relaxed with PBE, the powder XRD pattern of Nd3NbO7 was calculated for λ = 1.5418 Å (Cu Kα).

Structure:
```
Nd3NbO7
1.0
7.6835 0.0000 0.0000
0.0000 10.9887 0.0000
0.0000 0.0000 7.7741
Nd Nb O
12 4 28
Direct
0.0131 0.2500 0.2046
0.2494 0.5237 0.0422
0.2494 0.9763 0.0422
0.2506 0.0237 0.5422
0.2506 0.4763 0.5422
0.4869 0.7500 0.7046
0.5131 0.2500 0.2954
0.7494 0.5237 0.4578
0.7494 0.9763 0.4578
0.7506 0.0237 0.9578
0.7506 0.4763 0.9578
0.9869 0.7500 0.7954
0.0049 0.2500 0.7463
0.4951 0.7500 0.2463
0.5049 0.2500 0.7537
0.9951 0.7500 0.2537
0.0355 0.1268 0.9500
0.0355 0.3732 0.9500
0.0424 0.6135 0.4065
0.0424 0.8865 0.4065
0.2439 0.6171 0.7706
0.2439 0.8829 0.7706
0.2473 0.2500 0.6710
0.2527 0.7500 0.1710
0.2561 0.1171 0.2706
0.2561 0.3829 0.2706
0.4576 0.1135 0.9065
0.4576 0.3865 0.9065
0.4645 0.6268 0.4500
0.4645 0.8732 0.4500
0.5355 0.1268 0.5500
0.5355 0.3732 0.5500
0.5424 0.6135 0.0935
0.5424 0.8865 0.0935
0.7439 0.6171 0.7294
0.7439 0.8829 0.7294
0.7473 0.2500 0.8290
0.7527 0.7500 0.3290
0.7561 0.1171 0.2294
0.7561 0.3829 0.2294
0.9576 0.1135 0.5935
0.9576 0.3865 0.5935
0.9645 0.6268 0.0500
0.9645 0.8732 0.0500
```

Largest 12 diffraction maxima, in order of falling intensity, 2θ from 10° to 90°:
2θ = 28.3°, I = 100; 2θ = 28.1°, I = 89; 2θ = 46.9°, I = 45; 2θ = 32.8°, I = 41; 2θ = 56.0°, I = 25; 2θ = 32.6°, I = 22; 2θ = 55.6°, I = 21; 2θ = 47.3°, I = 18; 2θ = 51.3°, I = 11; 2θ = 44.4°, I = 11; 2θ = 25.7°, I = 11; 2θ = 58.6°, I = 10

(7)
Starting from a cell relaxed with PBE, the powder XRD pattern of DyNiAs was calculated for λ = 1.5418 Å (Cu Kα).

Structure:
```
DyNiAs
1.0
4.0488 0.0000 0.0000
-2.0244 3.5064 0.0000
0.0000 0.0000 15.5465
Dy Ni As
4 4 4
Direct
0.0000 0.0000 0.0000
0.0000 0.0000 0.2500
0.0000 0.0000 0.5000
0.0000 0.0000 0.7500
0.3333 0.6667 0.1348
0.3333 0.6667 0.3652
0.6667 0.3333 0.6348
0.6667 0.3333 0.8652
0.3333 0.6667 0.6204
0.3333 0.6667 0.8796
0.6667 0.3333 0.1204
0.6667 0.3333 0.3796
```

Largest 12 diffraction maxima, in order of falling intensity, 2θ from 10° to 90°:
2θ = 34.4°, I = 100; 2θ = 44.8°, I = 41; 2θ = 66.7°, I = 23; 2θ = 57.7°, I = 22; 2θ = 75.8°, I = 20; 2θ = 25.4°, I = 16; 2θ = 46.7°, I = 11; 2θ = 78.7°, I = 8; 2θ = 82.5°, I = 7; 2θ = 53.9°, I = 5; 2θ = 89.5°, I = 3; 2θ = 52.2°, I = 2